[1]
This entry pairs a crystal structure of CeCuSn with its computed XRD peak list. Radiation: copper Kα. Structure: a GGA-PBE-relaxed structure.
Neutral-atom scattering factors, no anomalous dispersion.

Cell and atoms:
Unit cell a=4.6155 b=4.6155 c=7.5865 alpha=90.00 beta=90.00 gamma=120.00
Positions (direct):
Ce1 0.0000 0.0000 0.0000
Ce2 0.0000 0.0000 0.5000
Cu1 0.3333 0.6667 0.1946
Cu2 0.6667 0.3333 0.6946
Sn1 0.3333 0.6667 0.7633
Sn2 0.6667 0.3333 0.2633

Principal peaks in the range 2θ from 10° to 80°, by angle:
2θ/deg  Rel. int.
25.18  12
32.54  100
39.03  65
42.29  11
47.97  8
51.70  27
63.49  21
65.84  6
66.63  25
70.70  11


[2]
This entry pairs a crystal structure of CeCuSn with its computed XRD peak list. Radiation: copper Kα. Structure: a GGA-PBE-relaxed structure.
Neutral-atom scattering factors, no anomalous dispersion.

Cell and atoms:
Unit cell a=4.5756 b=4.5756 c=7.7747 alpha=90.00 beta=90.00 gamma=120.00
Positions (direct):
Ce1 0.0000 0.0000 0.0000
Ce2 0.0000 0.0000 0.5000
Cu1 0.3333 0.6667 0.2500
Cu2 0.6667 0.3333 0.7500
Sn1 0.3333 0.6667 0.7500
Sn2 0.6667 0.3333 0.2500

Principal peaks in the range 2θ from 10° to 80°, by angle:
2θ/deg  Rel. int.
22.44  4
25.23  7
32.26  100
39.39  58
46.74  12
51.79  26
62.72  29
66.96  24
71.42  10
77.50  8


[3]
This entry pairs a crystal structure of CeZn3Cu2 with its computed XRD peak list. Radiation: copper Kα. Structure: a GGA-PBE-relaxed structure.
Neutral-atom scattering factors, no anomalous dispersion.

Cell and atoms:
Unit cell a=5.2270 b=5.2270 c=4.2244 alpha=90.00 beta=90.00 gamma=120.00
Positions (direct):
Ce1 0.0000 0.0000 0.0000
Zn1 0.0000 0.5000 0.5000
Zn2 0.5000 0.0000 0.5000
Zn3 0.5000 0.5000 0.5000
Cu1 0.3333 0.6667 0.0000
Cu2 0.6667 0.3333 0.0000

Principal peaks in the range 2θ from 10° to 80°, by angle:
2θ/deg  Rel. int.
28.91  41
34.31  28
39.83  35
40.59  100
42.81  28
55.98  13
59.90  21
65.71  23
72.31  17
76.91  14


[4]
This entry pairs a crystal structure of CeDy3 with its computed XRD peak list. Radiation: copper Kα. Structure: a GGA-PBE-relaxed structure.
Neutral-atom scattering factors, no anomalous dispersion.

Cell and atoms:
Unit cell a=4.9976 b=4.9976 c=9.9736 alpha=90.00 beta=90.00 gamma=90.00
Positions (direct):
Ce1 0.0000 0.0000 0.0000
Ce2 0.5000 0.5000 0.5000
Dy1 0.0000 0.0000 0.5000
Dy2 0.0000 0.5000 0.2500
Dy3 0.0000 0.5000 0.7500
Dy4 0.5000 0.0000 0.2500
Dy5 0.5000 0.0000 0.7500
Dy6 0.5000 0.5000 0.0000

Principal peaks in the range 2θ from 10° to 80°, by angle:
2θ/deg  Rel. int.
31.02  100
35.97  51
51.78  36
61.56  28
61.66  14
64.65  12
76.20  4
76.39  2